Starting from a DFT-relaxed cell (PBE+U, Alexandria), the XRD peak list of Cs2Zr3MnO8 was simulated for Cu Ka.

Crystal structure
a = 6.5674 Å, b = 6.5674 Å, c = 21.7339 Å
α = 90.00°, β = 90.00°, γ = 120.00°
Space group R3m (No. 160, hexagonal axes)
Symmetry-distinct sites (fractional):
1 Cs 0.0000 0.0000 0.0000 x3
2 Cs 0.0000 0.0000 0.3550 x3
3 Zr 0.0005 0.5002 0.5023 x9
4 Mn 0.0000 0.0000 0.5183 x3
5 O 0.0000 0.0000 0.2187 x3
6 O 0.0000 0.0000 0.7868 x3
7 O 0.0154 0.5077 0.7886 x9
8 O 0.1778 0.3555 0.5530 x9

The 12 most intense peaks (2θ = 5–70°), in order of rising 2θ:
index, d_spacing, Rel. int.
0 0 3, 7.245, 54
1 0 1, 5.502, 49
0 0 6, 3.622, 90
0 1 5, 3.454, 52
1 1 0, 3.284, 38
1 1 3, 2.991, 100
2 0 2, 2.751, 51
0 2 4, 2.520, 73
0 2 7, 2.097, 42
2 0 8, 1.964, 42
2 2 0, 1.642, 48
2 2 6, 1.495, 40